# 1
Starting from a structure optimized by DFT (GGA-PBE), the powder diffraction line list of Sn3Rh2Se3 was calculated for λ = 1.5418 Å (Cu Kα).
Peak positions follow from Bragg's law for the DFT cell and can differ from measured ones.

Crystal structure
```
32
Lattice="6.412 3.702 5.231 -6.412 3.702 5.231 0.000 -7.404 5.231" Properties=species:S:1:pos:R:3 pbc="T T T"
Sn -0.971 -4.355 4.281
Sn -3.286 3.018 4.281
Sn -2.146 -0.110 5.311
Sn -4.257 -1.337 11.411
Sn 1.168 -1.803 5.311
Sn -0.978 -1.913 10.381
Sn 0.978 1.913 5.311
Sn -1.168 1.803 10.381
Sn 4.257 1.337 4.281
Sn 2.146 0.110 10.381
Sn 3.286 -3.018 11.411
Sn 0.971 4.355 11.411
Rh -3.216 -1.839 9.065
Rh 0.000 0.000 3.844
Rh -0.016 -3.704 6.627
Rh -3.200 1.866 6.627
Rh 3.200 -1.866 9.065
Rh 0.016 3.704 9.065
Rh 0.000 0.000 11.847
Rh 3.216 1.839 6.627
Se -0.943 -2.008 2.606
Se -1.267 1.820 2.606
Se -2.220 -2.399 6.809
Se 2.210 0.187 2.606
Se -3.187 0.723 8.883
Se -0.967 3.122 6.809
Se 0.967 -3.122 8.883
Se 3.187 -0.723 6.809
Se -2.210 -0.187 13.086
Se 2.220 2.399 8.883
Se 1.267 -1.820 13.086
Se 0.943 2.008 13.086
```

Largest 10 diffraction maxima, most intense first, 10 to 80 degrees two-theta:
d/Å	I (rel.)
2.867	100
2.027	50
2.423	33
1.850	32
1.778	31
4.533	20
1.555	19
1.337	16
3.701	11
1.367	9

# 2
Starting from a structure optimized by DFT (GGA-PBE), the powder diffraction line list of SnRh3Se was calculated for λ = 1.5418 Å (Cu Kα).
Peak positions follow from Bragg's law for the DFT cell and can differ from measured ones.

Crystal structure
```
20
Lattice="5.354 -5.486 0.000 5.354 5.486 0.000 0.000 0.000 5.972" Properties=species:S:1:pos:R:3 pbc="T T T"
Sn 5.354 5.442 4.479
Sn 5.354 1.786 1.493
Sn 5.354 -1.786 4.479
Sn 5.354 -5.442 1.493
Rh 3.899 3.672 0.022
Rh 3.899 3.672 2.964
Rh 6.809 3.672 0.022
Rh 6.809 3.672 2.964
Rh 3.917 0.000 0.000
Rh 3.917 0.000 2.986
Rh 6.791 0.000 0.000
Rh 6.791 0.000 2.986
Rh 3.899 -3.672 3.008
Rh 3.899 -3.672 5.950
Rh 6.809 -3.672 3.008
Rh 6.809 -3.672 5.950
Se 3.396 1.802 4.479
Se 3.396 -1.802 1.493
Se 7.313 1.802 4.479
Se 7.313 -1.802 1.493
```

Largest 10 diffraction maxima, most intense first, 10 to 80 degrees two-theta:
d/Å	I (rel.)
2.261	100
2.554	49
1.993	43
1.829	25
1.276	24
1.347	24
1.848	21
3.225	21
1.941	21
2.951	19